Entry 1:
Structure and theoretical X-ray powder pattern of Mg6AlV (a cell relaxed with GGA-PBE; Cu Kα X-rays).

Cell and atoms:
```
Mg6AlV
1.0
5.012 0.000 0.000
0.000 3.026 5.420
0.000 -3.026 5.420
Mg Al V
6 1 1
direct
0.000 0.000 0.000
0.000 0.010 0.501
0.000 0.497 0.497
0.000 0.501 0.010
0.500 0.338 0.835
0.500 0.835 0.338
0.500 0.836 0.836
0.500 0.337 0.337
```

The 12 most intense peaks (2θ = 5–70°), low angle first:
2θ = 16.78°, 5.284 Å, intensity 7; 2θ = 33.05°, 2.710 Å, intensity 13; 2θ = 33.94°, 2.642 Å, intensity 28; 2θ = 35.83°, 2.506 Å, intensity 41; 2θ = 37.74°, 2.384 Å, intensity 55; 2θ = 38.52°, 2.337 Å, intensity 100; 2θ = 49.54°, 1.840 Å, intensity 8; 2θ = 50.18°, 1.818 Å, intensity 16; 2θ = 59.60°, 1.551 Å, intensity 17; 2θ = 61.28°, 1.513 Å, intensity 8; 2θ = 65.65°, 1.422 Å, intensity 10; 2θ = 66.18°, 1.412 Å, intensity 19

---

Entry 2:
Structure and theoretical X-ray powder pattern of Pr2MgSi2 (a cell relaxed with GGA-PBE; Cu Kα X-rays).

Cell and atoms:
```
Pr2MgSi2
1.0
7.443 0.000 0.000
0.000 7.443 0.000
0.000 0.000 4.394
Pr Mg Si
4 2 4
direct
0.181 0.319 0.000
0.319 0.819 0.000
0.681 0.181 0.000
0.819 0.681 0.000
0.000 0.000 0.500
0.500 0.500 0.500
0.115 0.615 0.500
0.385 0.115 0.500
0.615 0.885 0.500
0.885 0.385 0.500
```

The 12 most intense peaks (2θ = 5–70°), low angle first:
2θ = 20.21°, 4.394 Å, intensity 32; 2θ = 23.91°, 3.722 Å, intensity 25; 2θ = 26.78°, 3.329 Å, intensity 42; 2θ = 31.50°, 2.840 Å, intensity 52; 2θ = 33.78°, 2.653 Å, intensity 100; 2θ = 38.24°, 2.354 Å, intensity 18; 2θ = 41.08°, 2.197 Å, intensity 18; 2θ = 49.72°, 1.834 Å, intensity 16; 2θ = 50.56°, 1.805 Å, intensity 20; 2θ = 54.99°, 1.670 Å, intensity 27; 2θ = 56.48°, 1.629 Å, intensity 15; 2θ = 67.11°, 1.395 Å, intensity 17

---

Entry 3:
Structure and theoretical X-ray powder pattern of Zn2InCuSe4 (a cell relaxed with GGA-PBE; Cu Kα X-rays).

Cell and atoms:
```
Zn2InCuSe4
1.0
-2.902 2.902 5.798
2.902 -2.902 5.798
2.902 2.902 -5.798
Zn In Cu Se
2 1 1 4
direct
0.250 0.750 0.500
0.750 0.250 0.500
0.000 0.000 0.000
0.500 0.500 0.000
0.136 0.608 0.000
0.392 0.392 0.528
0.608 0.136 0.000
0.864 0.864 0.472
```

The 12 most intense peaks (2θ = 5–70°), low angle first:
2θ = 17.08°, 5.190 Å, intensity 1; 2θ = 21.65°, 4.104 Å, intensity 1; 2θ = 26.61°, 3.350 Å, intensity 100; 2θ = 27.73°, 3.217 Å, intensity 2; 2θ = 35.44°, 2.533 Å, intensity 3; 2θ = 41.94°, 2.154 Å, intensity 1; 2θ = 44.15°, 2.051 Å, intensity 74; 2θ = 47.65°, 1.908 Å, intensity 1; 2θ = 52.29°, 1.749 Å, intensity 44; 2θ = 62.50°, 1.486 Å, intensity 1; 2θ = 64.21°, 1.451 Å, intensity 11; 2θ = 66.99°, 1.397 Å, intensity 1

---

Entry 4:
Structure and theoretical X-ray powder pattern of BaZnSnF7 (a cell relaxed with GGA-PBE; Cu Kα X-rays).

Cell and atoms:
```
BaZnSnF7
1.0
5.832 0.000 0.000
0.000 10.436 0.000
-0.476 0.000 9.958
Ba Zn Sn F
4 4 4 28
direct
0.232 0.176 0.005
0.232 0.324 0.505
0.768 0.676 0.495
0.768 0.824 0.995
0.197 0.608 0.807
0.197 0.892 0.307
0.803 0.108 0.693
0.803 0.392 0.193
0.299 0.601 0.182
0.299 0.899 0.682
0.701 0.101 0.318
0.701 0.399 0.818
0.010 0.717 0.244
0.010 0.783 0.744
0.091 0.536 0.631
0.091 0.964 0.131
0.124 0.074 0.617
0.124 0.426 0.117
0.255 0.703 0.990
0.255 0.797 0.490
0.361 0.054 0.379
0.361 0.446 0.879
0.406 0.539 0.377
0.406 0.961 0.877
0.477 0.718 0.745
0.477 0.782 0.245
0.523 0.218 0.755
0.523 0.282 0.255
0.594 0.039 0.123
0.594 0.461 0.623
0.639 0.554 0.121
0.639 0.946 0.621
0.745 0.203 0.510
0.745 0.297 0.010
0.876 0.574 0.883
0.876 0.926 0.383
0.909 0.036 0.869
0.909 0.464 0.369
0.990 0.217 0.256
0.990 0.283 0.756
```

The 12 most intense peaks (2θ = 5–70°), low angle first:
2θ = 24.32°, 3.661 Å, intensity 100; 2θ = 24.49°, 3.635 Å, intensity 45; 2θ = 25.55°, 3.486 Å, intensity 78; 2θ = 28.21°, 3.163 Å, intensity 50; 2θ = 29.92°, 2.987 Å, intensity 32; 2θ = 30.69°, 2.913 Å, intensity 35; 2θ = 37.45°, 2.401 Å, intensity 25; 2θ = 39.06°, 2.306 Å, intensity 33; 2θ = 40.13°, 2.247 Å, intensity 21; 2θ = 41.16°, 2.193 Å, intensity 23; 2θ = 50.58°, 1.805 Å, intensity 32; 2θ = 52.28°, 1.750 Å, intensity 31

---

Entry 5:
Structure and theoretical X-ray powder pattern of HoAlCu (a cell relaxed with GGA-PBE; Cu Kα X-rays).

Cell and atoms:
```
HoAlCu
1.0
6.957 0.000 0.000
-3.478 6.025 0.000
0.000 0.000 4.037
Ho Al Cu
3 3 3
direct
0.000 0.586 0.000
0.414 0.414 0.000
0.586 0.000 0.000
0.000 0.235 0.500
0.235 0.000 0.500
0.765 0.765 0.500
0.000 0.000 0.000
0.333 0.667 0.500
0.667 0.333 0.500
```

The 12 most intense peaks (2θ = 5–70°), low angle first:
2θ = 22.02°, 4.037 Å, intensity 29; 2θ = 25.61°, 3.478 Å, intensity 37; 2θ = 29.66°, 3.012 Å, intensity 31; 2θ = 34.02°, 2.635 Å, intensity 100; 2θ = 37.24°, 2.414 Å, intensity 94; 2θ = 39.58°, 2.277 Å, intensity 30; 2θ = 44.90°, 2.019 Å, intensity 24; 2θ = 45.15°, 2.008 Å, intensity 19; 2θ = 45.75°, 1.983 Å, intensity 18; 2θ = 54.95°, 1.671 Å, intensity 24; 2θ = 59.91°, 1.544 Å, intensity 34; 2θ = 61.38°, 1.511 Å, intensity 16

---

Entry 6:
Structure and theoretical X-ray powder pattern of NpGa5Rh (a cell relaxed with GGA-PBE; Cu Kα X-rays).

Cell and atoms:
```
NpGa5Rh
1.0
4.294 0.000 0.000
0.000 4.294 0.000
0.000 0.000 6.805
Np Ga Rh
1 5 1
direct
0.000 0.000 0.000
0.000 0.500 0.297
0.000 0.500 0.703
0.500 0.000 0.297
0.500 0.000 0.703
0.500 0.500 0.000
0.000 0.000 0.500
```

The 12 most intense peaks (2θ = 5–70°), low angle first:
2θ = 13.01°, 6.805 Å, intensity 9; 2θ = 20.69°, 4.294 Å, intensity 39; 2θ = 32.29°, 2.773 Å, intensity 30; 2θ = 33.61°, 2.667 Å, intensity 23; 2θ = 39.79°, 2.266 Å, intensity 100; 2θ = 42.09°, 2.147 Å, intensity 45; 2θ = 47.34°, 1.920 Å, intensity 9; 2θ = 53.89°, 1.701 Å, intensity 6; 2θ = 54.90°, 1.672 Å, intensity 12; 2θ = 59.26°, 1.559 Å, intensity 12; 2θ = 61.04°, 1.518 Å, intensity 15; 2θ = 62.59°, 1.484 Å, intensity 5

---

Entry 7:
Structure and theoretical X-ray powder pattern of Pu3S2 (a cell relaxed with GGA-PBE; Cu Kα X-rays).

Cell and atoms:
```
Pu3S2
1.0
7.723 0.000 0.000
0.000 3.958 0.000
0.000 0.000 15.231
Pu S
12 8
direct
0.004 0.250 0.102
0.123 0.750 0.431
0.170 0.250 0.725
0.330 0.750 0.225
0.377 0.250 0.931
0.496 0.750 0.602
0.504 0.250 0.398
0.623 0.750 0.069
0.670 0.250 0.775
0.830 0.750 0.275
0.877 0.250 0.569
0.996 0.750 0.898
0.101 0.250 0.289
0.238 0.750 0.043
0.262 0.250 0.543
0.399 0.750 0.789
0.601 0.250 0.211
0.738 0.750 0.457
0.762 0.250 0.957
0.899 0.750 0.711
```

The 12 most intense peaks (2θ = 5–70°), low angle first:
2θ = 26.09°, 3.415 Å, intensity 23; 2θ = 27.91°, 3.197 Å, intensity 100; 2θ = 29.05°, 3.074 Å, intensity 50; 2θ = 32.94°, 2.720 Å, intensity 37; 2θ = 34.52°, 2.598 Å, intensity 56; 2θ = 34.69°, 2.586 Å, intensity 25; 2θ = 35.36°, 2.538 Å, intensity 53; 2θ = 37.25°, 2.414 Å, intensity 28; 2θ = 45.85°, 1.979 Å, intensity 28; 2θ = 55.23°, 1.663 Å, intensity 28; 2θ = 55.96°, 1.643 Å, intensity 32; 2θ = 59.20°, 1.561 Å, intensity 25

---

Entry 8:
Structure and theoretical X-ray powder pattern of Ca4Al6SO16 (a cell relaxed with GGA-PBE; Cu Kα X-rays).

Cell and atoms:
```
Ca4Al6SO16
1.0
-4.588 4.588 4.588
4.588 -4.588 4.588
4.588 4.588 -4.588
Ca Al S O
4 6 1 16
direct
0.000 0.000 0.624
0.000 0.624 0.000
0.376 0.376 0.376
0.624 0.000 0.000
0.250 0.500 0.750
0.250 0.750 0.500
0.500 0.250 0.750
0.500 0.750 0.250
0.750 0.250 0.500
0.750 0.500 0.250
0.000 0.000 0.000
0.000 0.000 0.188
0.000 0.188 0.000
0.000 0.425 0.717
0.000 0.717 0.425
0.188 0.000 0.000
0.283 0.283 0.707
0.283 0.707 0.283
0.293 0.575 0.575
0.425 0.000 0.717
0.425 0.717 0.000
0.575 0.293 0.575
0.575 0.575 0.293
0.707 0.283 0.283
0.717 0.000 0.425
0.717 0.425 0.000
0.812 0.812 0.812
```

The 12 most intense peaks (2θ = 5–70°), low angle first:
2θ = 23.75°, 3.746 Å, intensity 100; 2θ = 27.49°, 3.244 Å, intensity 5; 2θ = 30.82°, 2.902 Å, intensity 13; 2θ = 33.84°, 2.649 Å, intensity 27; 2θ = 36.64°, 2.452 Å, intensity 22; 2θ = 41.77°, 2.163 Å, intensity 58; 2θ = 48.61°, 1.873 Å, intensity 8; 2θ = 56.75°, 1.622 Å, intensity 13; 2θ = 58.67°, 1.574 Å, intensity 12; 2θ = 60.54°, 1.529 Å, intensity 10; 2θ = 62.38°, 1.489 Å, intensity 21; 2θ = 69.48°, 1.353 Å, intensity 6

---

> Number 2 is which compound?

Pr2MgSi2